Structure and simulated powder diffraction line list of Rb4Pd (the GGA-PBE geometry in Alexandria; Cu Ka).

Peak list (10 most intense, 2θ from 15° to 90°, low angle first)
two_theta  I_rel
21.22  24
24.88  100
28.52  25
29.37  91
31.09  43
33.76  22
39.51  29
43.52  27
53.91  31
56.43  24

Atomic structure:
```
Rb4Pd
1.0
8.852 0.000 0.000
0.000 8.852 0.000
0.000 0.000 8.372
Rb Pd
8 2
direct
0.160 0.279 0.000
0.160 0.721 0.500
0.279 0.160 0.500
0.279 0.840 0.000
0.721 0.160 0.000
0.721 0.840 0.500
0.840 0.279 0.500
0.840 0.721 0.000
0.000 0.000 0.250
0.000 0.000 0.750
```

Structure and simulated powder diffraction line list of Tb13Sm2 (the GGA-PBE geometry in Alexandria; Cu Ka).

Peak list (10 most intense, 2θ from 15° to 90°, low angle first)
two_theta  I_rel
30.24  20
31.84  100
31.92  25
37.37  8
44.41  7
44.48  7
46.92  10
56.68  17
57.78  8
62.11  18

Atomic structure:
```
Tb13Sm2
1.0
6.650 0.000 0.000
1.436 8.639 0.000
1.014 3.102 8.411
Tb Sm
13 2
direct
0.000 0.000 0.000
0.096 0.423 0.693
0.134 0.197 0.266
0.238 0.576 0.975
0.334 0.999 0.668
0.430 0.423 0.359
0.467 0.197 0.935
0.533 0.803 0.065
0.570 0.577 0.641
0.666 0.001 0.332
0.762 0.424 0.025
0.866 0.803 0.734
0.904 0.577 0.307
0.199 0.804 0.398
0.801 0.196 0.602
```

Structure and simulated powder diffraction line list of HgPbF4 (the GGA-PBE geometry in Alexandria; Cu Ka).

Peak list (10 most intense, 2θ from 15° to 90°, low angle first)
two_theta  I_rel
25.80  100
27.06  87
30.56  42
30.73  20
42.11  19
43.89  68
45.36  15
50.78  32
52.44  15
52.92  29

Atomic structure:
```
HgPbF4
1.0
0.000 4.291 5.818
3.999 0.000 5.818
3.999 4.291 0.000
Hg Pb F
2 2 8
direct
0.125 0.125 0.125
0.875 0.875 0.875
0.375 0.375 0.375
0.625 0.625 0.625
0.025 0.471 0.243
0.238 0.757 0.529
0.243 0.762 0.025
0.471 0.025 0.762
0.529 0.975 0.238
0.757 0.238 0.975
0.762 0.243 0.471
0.975 0.529 0.757
```

Structure and simulated powder diffraction line list of La7Pr2Cd2 (the GGA-PBE geometry in Alexandria; Cu Ka).

Peak list (10 most intense, 2θ from 15° to 90°, low angle first)
two_theta  I_rel
26.10  35
28.64  54
30.79  43
32.00  100
33.83  31
34.15  17
38.95  16
48.21  17
55.54  19
61.70  17

Atomic structure:
```
La7Pr2Cd2
1.0
-1.888 8.931 5.808
1.888 -8.931 5.808
1.888 8.931 -5.808
La Pr Cd
7 2 2
direct
0.000 0.000 0.000
0.132 0.782 0.350
0.432 0.782 0.650
0.454 0.560 0.894
0.632 0.311 0.322
0.666 0.560 0.106
0.989 0.311 0.678
0.267 0.047 0.220
0.827 0.047 0.780
0.305 0.305 0.000
0.750 0.250 0.500
```

Structure and simulated powder diffraction line list of Hf3Cd3AgF20 (the GGA-PBE geometry in Alexandria; Cu Ka).

Peak list (10 most intense, 2θ from 15° to 90°, low angle first)
two_theta  I_rel
20.99  67
25.50  100
33.26  52
42.74  15
44.94  32
50.10  29
50.43  30
52.38  15
57.04  14
63.75  21

Atomic structure:
```
Hf3Cd3AgF20
1.0
10.673 0.000 0.000
-5.337 9.243 0.000
0.000 0.000 8.463
Hf Cd Ag F
6 6 2 40
direct
0.139 0.722 0.250
0.278 0.417 0.250
0.417 0.139 0.750
0.583 0.861 0.250
0.722 0.583 0.750
0.861 0.278 0.750
0.163 0.730 0.750
0.270 0.433 0.750
0.433 0.163 0.250
0.567 0.837 0.750
0.730 0.567 0.250
0.837 0.270 0.250
0.000 0.000 0.250
0.000 0.000 0.750
0.000 0.000 0.000
0.000 0.000 0.500
0.032 0.235 0.750
0.057 0.471 0.750
0.058 0.284 0.250
0.146 0.720 0.015
0.146 0.720 0.485
0.185 0.551 0.250
0.203 0.968 0.750
0.226 0.942 0.250
0.235 0.203 0.250
0.280 0.426 0.015
0.280 0.426 0.485
0.284 0.226 0.750
0.333 0.667 0.750
0.366 0.815 0.250
0.415 0.943 0.750
0.426 0.146 0.515
0.426 0.146 0.985
0.449 0.634 0.250
0.471 0.415 0.250
0.529 0.585 0.750
0.551 0.366 0.750
0.574 0.854 0.015
0.574 0.854 0.485
0.585 0.057 0.250
0.634 0.185 0.750
0.667 0.333 0.250
0.716 0.774 0.250
0.720 0.574 0.515
0.720 0.574 0.985
0.765 0.797 0.750
0.774 0.058 0.750
0.797 0.032 0.250
0.815 0.449 0.750
0.854 0.280 0.515
0.854 0.280 0.985
0.942 0.716 0.750
0.943 0.529 0.250
0.968 0.765 0.250
```

Structure and simulated powder diffraction line list of PuCdSbN (the GGA-PBE geometry in Alexandria; Cu Ka).

Peak list (10 most intense, 2θ from 15° to 90°, low angle first)
two_theta  I_rel
29.36  33
31.97  100
40.46  30
50.77  28
53.73  22
58.55  10
66.84  12
68.28  23
75.68  7
83.49  12

Atomic structure:
```
PuCdSbN
1.0
-1.577 1.577 9.128
1.577 -1.577 9.128
1.577 1.577 -9.128
Pu Cd Sb N
1 1 1 1
direct
0.000 0.000 0.000
0.677 0.677 0.000
0.348 0.348 0.000
0.534 0.534 0.000
```

Repeat the fifth record exactly.
Structure and simulated powder diffraction line list of Hf3Cd3AgF20 (the GGA-PBE geometry in Alexandria; Cu Ka).

Peak list (10 most intense, 2θ from 15° to 90°, low angle first)
two_theta  I_rel
20.99  67
25.50  100
33.26  52
42.74  15
44.94  32
50.10  29
50.43  30
52.38  15
57.04  14
63.75  21

Atomic structure:
```
Hf3Cd3AgF20
1.0
10.673 0.000 0.000
-5.337 9.243 0.000
0.000 0.000 8.463
Hf Cd Ag F
6 6 2 40
direct
0.139 0.722 0.250
0.278 0.417 0.250
0.417 0.139 0.750
0.583 0.861 0.250
0.722 0.583 0.750
0.861 0.278 0.750
0.163 0.730 0.750
0.270 0.433 0.750
0.433 0.163 0.250
0.567 0.837 0.750
0.730 0.567 0.250
0.837 0.270 0.250
0.000 0.000 0.250
0.000 0.000 0.750
0.000 0.000 0.000
0.000 0.000 0.500
0.032 0.235 0.750
0.057 0.471 0.750
0.058 0.284 0.250
0.146 0.720 0.015
0.146 0.720 0.485
0.185 0.551 0.250
0.203 0.968 0.750
0.226 0.942 0.250
0.235 0.203 0.250
0.280 0.426 0.015
0.280 0.426 0.485
0.284 0.226 0.750
0.333 0.667 0.750
0.366 0.815 0.250
0.415 0.943 0.750
0.426 0.146 0.515
0.426 0.146 0.985
0.449 0.634 0.250
0.471 0.415 0.250
0.529 0.585 0.750
0.551 0.366 0.750
0.574 0.854 0.015
0.574 0.854 0.485
0.585 0.057 0.250
0.634 0.185 0.750
0.667 0.333 0.250
0.716 0.774 0.250
0.720 0.574 0.515
0.720 0.574 0.985
0.765 0.797 0.750
0.774 0.058 0.750
0.797 0.032 0.250
0.815 0.449 0.750
0.854 0.280 0.515
0.854 0.280 0.985
0.942 0.716 0.750
0.943 0.529 0.250
0.968 0.765 0.250
```